Theoretical PXRD pattern of CuTeO3 for Cu Kα (weighted mean of Kα1 and Kα2), from a crystal structure in the Materials Project, relaxed with GGA-PBE.

Top 10 peaks for 2θ = 10–90°, in order of falling intensity:
2theta, I/Imax
32.76, 100.0
30.72, 37.8
29.43, 33.5
54.35, 29.7
55.92, 28.1
43.06, 22.5
21.15, 14.4
68.66, 12.1
72.41, 11.5
59.73, 10.8

Atomic structure:
a = 6.070 Å, b = 7.201 Å, c = 5.822 Å
α = 90.00°, β = 90.00°, γ = 90.00°
Positions (direct):
Cu (0.000, 0.000, 0.000)
Cu (0.000, 0.500, 0.000)
Cu (0.500, 0.000, 0.500)
Cu (0.500, 0.500, 0.500)
Te (0.008, 0.250, 0.493)
Te (0.492, 0.750, 0.993)
Te (0.508, 0.250, 0.007)
Te (0.992, 0.750, 0.507)
O (0.051, 0.750, 0.838)
O (0.200, 0.557, 0.412)
O (0.200, 0.943, 0.412)
O (0.300, 0.057, 0.912)
O (0.300, 0.443, 0.912)
O (0.449, 0.250, 0.338)
O (0.551, 0.750, 0.662)
O (0.700, 0.557, 0.088)
O (0.700, 0.943, 0.088)
O (0.800, 0.057, 0.588)
O (0.800, 0.443, 0.588)
O (0.949, 0.250, 0.162)



Theoretical PXRD pattern of Ti2Cu3Te3O16 for Cu Kα (weighted mean of Kα1 and Kα2), from a crystal structure in the Materials Project, relaxed with GGA-PBE.

Top 10 peaks for 2θ = 10–90°, in order of falling intensity:
2theta, I/Imax
19.18, 100.0
35.84, 25.7
18.18, 21.4
34.16, 20.3
38.94, 19.2
44.67, 17.9
33.27, 17.2
62.25, 16.9
34.47, 16.6
19.69, 14.9

Atomic structure:
a = 6.286 Å, b = 6.286 Å, c = 9.278 Å
α = 93.14°, β = 93.14°, γ = 56.63°
Positions (direct):
Ti (0.000, 0.000, 0.000)
Ti (0.668, 0.668, 0.454)
Cu (0.135, 0.135, 0.703)
Cu (0.484, 0.982, 0.188)
Cu (0.982, 0.484, 0.188)
Te (0.135, 0.638, 0.704)
Te (0.485, 0.485, 0.209)
Te (0.638, 0.135, 0.704)
O (0.150, 0.150, 0.079)
O (0.171, 0.679, 0.085)
O (0.255, 0.823, 0.816)
O (0.325, 0.325, 0.284)
O (0.329, 0.329, 0.823)
O (0.351, 0.767, 0.353)
O (0.454, 0.454, 0.592)
O (0.476, 0.980, 0.602)
O (0.635, 0.635, 0.102)
O (0.679, 0.171, 0.085)
O (0.767, 0.351, 0.353)
O (0.783, 0.783, 0.328)
O (0.823, 0.255, 0.816)
O (0.830, 0.830, 0.831)
O (0.937, 0.937, 0.578)
O (0.980, 0.476, 0.602)



Theoretical PXRD pattern of ZnCu2Te2O8 for Cu Kα (weighted mean of Kα1 and Kα2), from a crystal structure in the Materials Project, relaxed with GGA-PBE.

Top 10 peaks for 2θ = 10–90°, in order of falling intensity:
2theta, I/Imax
27.12, 100.0
30.78, 94.7
31.94, 49.4
33.06, 44.1
25.42, 38.5
25.65, 38.2
29.62, 37.6
27.73, 35.8
27.59, 35.5
21.04, 34.3

Atomic structure:
a = 6.518 Å, b = 8.603 Å, c = 13.207 Å
α = 90.00°, β = 95.22°, γ = 90.00°
Positions (direct):
Zn (0.112, 0.145, 0.045)
Zn (0.112, 0.355, 0.545)
Zn (0.888, 0.645, 0.455)
Zn (0.888, 0.855, 0.955)
Cu (0.266, 0.688, 0.618)
Cu (0.266, 0.812, 0.118)
Cu (0.380, 0.062, 0.626)
Cu (0.380, 0.438, 0.126)
Cu (0.620, 0.562, 0.874)
Cu (0.620, 0.938, 0.374)
Cu (0.734, 0.188, 0.882)
Cu (0.734, 0.312, 0.382)
Te (0.090, 0.048, 0.344)
Te (0.090, 0.452, 0.844)
Te (0.354, 0.611, 0.360)
Te (0.354, 0.889, 0.860)
Te (0.646, 0.111, 0.140)
Te (0.646, 0.389, 0.640)
Te (0.910, 0.548, 0.156)
Te (0.910, 0.952, 0.656)
O (0.029, 0.243, 0.401)
O (0.029, 0.257, 0.901)
O (0.084, 0.108, 0.610)
O (0.084, 0.392, 0.110)
O (0.093, 0.042, 0.203)
O (0.093, 0.458, 0.703)
O (0.192, 0.572, 0.493)
O (0.192, 0.928, 0.993)
O (0.328, 0.626, 0.196)
O (0.328, 0.874, 0.696)
O (0.341, 0.523, 0.907)
O (0.341, 0.977, 0.407)
O (0.398, 0.220, 0.086)
O (0.398, 0.280, 0.586)
O (0.465, 0.090, 0.851)
O (0.465, 0.410, 0.351)
O (0.535, 0.590, 0.649)
O (0.535, 0.910, 0.149)
O (0.602, 0.720, 0.414)
O (0.602, 0.780, 0.914)
O (0.659, 0.023, 0.593)
O (0.659, 0.477, 0.093)
O (0.672, 0.126, 0.304)
O (0.672, 0.374, 0.804)
O (0.808, 0.072, 0.007)
O (0.808, 0.428, 0.507)
O (0.907, 0.542, 0.297)
O (0.907, 0.958, 0.797)
O (0.916, 0.608, 0.890)
O (0.916, 0.892, 0.390)
O (0.971, 0.743, 0.099)
O (0.971, 0.757, 0.599)



Theoretical PXRD pattern of Zn4Cu5Te3O18 for Cu Kα (weighted mean of Kα1 and Kα2), from a crystal structure in the Materials Project, relaxed with GGA-PBE.

Top 10 peaks for 2θ = 10–90°, in order of falling intensity:
2theta, I/Imax
34.97, 100.0
27.74, 68.5
35.15, 66.1
34.43, 59.6
20.39, 57.0
54.18, 56.4
29.69, 49.7
33.09, 49.4
31.30, 45.1
21.76, 42.8

Atomic structure:
a = 8.753 Å, b = 8.753 Å, c = 10.523 Å
α = 95.38°, β = 95.38°, γ = 61.11°
Positions (direct):
Zn (0.138, 0.823, 0.961)
Zn (0.161, 0.435, 0.082)
Zn (0.177, 0.862, 0.539)
Zn (0.435, 0.161, 0.582)
Zn (0.565, 0.839, 0.418)
Zn (0.823, 0.138, 0.461)
Zn (0.839, 0.565, 0.918)
Zn (0.862, 0.177, 0.039)
Cu (0.030, 0.643, 0.447)
Cu (0.186, 0.514, 0.736)
Cu (0.330, 0.670, 0.250)
Cu (0.357, 0.970, 0.053)
Cu (0.486, 0.814, 0.764)
Cu (0.514, 0.186, 0.236)
Cu (0.643, 0.030, 0.947)
Cu (0.670, 0.330, 0.750)
Cu (0.814, 0.486, 0.264)
Cu (0.970, 0.357, 0.553)
Te (0.150, 0.166, 0.802)
Te (0.166, 0.150, 0.302)
Te (0.500, 0.500, 0.000)
Te (0.500, 0.500, 0.500)
Te (0.834, 0.850, 0.698)
Te (0.850, 0.834, 0.198)
O (0.046, 0.388, 0.388)
O (0.054, 0.750, 0.802)
O (0.071, 0.080, 0.931)
O (0.072, 0.732, 0.299)
O (0.080, 0.071, 0.431)
O (0.090, 0.386, 0.901)
O (0.221, 0.277, 0.671)
O (0.250, 0.946, 0.698)
O (0.257, 0.600, 0.551)
O (0.268, 0.928, 0.201)
O (0.272, 0.584, 0.075)
O (0.277, 0.221, 0.171)
O (0.386, 0.090, 0.401)
O (0.388, 0.046, 0.888)
O (0.400, 0.743, 0.949)
O (0.416, 0.728, 0.425)
O (0.420, 0.434, 0.835)
O (0.434, 0.420, 0.335)
O (0.566, 0.580, 0.665)
O (0.580, 0.566, 0.165)
O (0.584, 0.272, 0.575)
O (0.600, 0.257, 0.051)
O (0.612, 0.954, 0.112)
O (0.614, 0.910, 0.599)
O (0.723, 0.779, 0.829)
O (0.728, 0.416, 0.925)
O (0.732, 0.072, 0.799)
O (0.743, 0.400, 0.449)
O (0.750, 0.054, 0.302)
O (0.779, 0.723, 0.329)
O (0.910, 0.614, 0.099)
O (0.920, 0.929, 0.569)
O (0.928, 0.268, 0.701)
O (0.929, 0.920, 0.069)
O (0.946, 0.250, 0.198)
O (0.954, 0.612, 0.612)